1.
Calculated powder XRD pattern
Compound: Li2MgCr3S6O24
Radiation: Cu Kα (weighted mean of Kα1 and Kα2)
Structure: a structure optimized by DFT (PBE+U)
Peak positions follow from Bragg's law for the DFT cell and can differ from measured ones.

```
Li2MgCr3S6O24
1.0
8.3414 0.0000 0.0000
-4.1098 7.3573 0.0000
-0.0358 -4.7767 7.6002
Li Mg Cr S O
2 1 3 6 24
direct
0.0000 0.0000 0.0000
0.2471 0.6644 0.9988
0.0721 0.8989 0.3135
0.2830 0.3016 0.9080
0.5786 0.9132 0.8202
0.7823 0.3214 0.4380
0.1799 0.4087 0.6205
0.3900 0.1079 0.1200
0.4745 0.1106 0.6166
0.6832 0.8330 0.1236
0.8744 0.8036 0.6188
0.9601 0.3887 0.1150
0.0454 0.4688 0.5953
0.0488 0.9514 0.7740
0.0530 0.5985 0.1280
0.0891 0.3078 0.0712
0.1395 0.2131 0.4637
0.1565 0.3825 0.7762
0.1913 0.9955 0.1333
0.3239 0.9852 0.4507
0.3804 0.5891 0.6661
0.4044 0.9274 0.9797
0.4188 0.2591 0.0687
0.4516 0.9577 0.6688
0.4619 0.2851 0.7572
0.4783 0.6672 0.0752
0.5299 0.2194 0.2889
0.6692 0.2125 0.5934
0.7212 0.8805 0.9774
0.7347 0.0300 0.2892
0.7370 0.8723 0.6583
0.7723 0.2349 0.9732
0.7831 0.5853 0.5900
0.8115 0.7667 0.1411
0.9190 0.8040 0.4623
0.9320 0.4199 0.2860
```

The 10 most intense peaks (15 to 90 degrees two-theta), in order of falling intensity:
- 24.33 deg, rel. 100
- 31.87 deg, rel. 55
- 19.72 deg, rel. 43
- 23.87 deg, rel. 41
- 24.17 deg, rel. 28
- 24.01 deg, rel. 27
- 28.66 deg, rel. 19
- 31.48 deg, rel. 19
- 29.36 deg, rel. 19
- 19.86 deg, rel. 19

=====

2.
Calculated powder XRD pattern
Compound: Li9Mn7O16
Radiation: Cu Kα (weighted mean of Kα1 and Kα2)
Structure: a structure optimized by DFT (PBE+U)
Peak positions follow from Bragg's law for the DFT cell and can differ from measured ones.

```
Li9Mn7O16
1.0
3.0067 0.0000 0.0000
0.6709 9.9209 0.0000
0.6231 2.1106 9.9455
Li Mn O
9 7 16
direct
0.0000 0.0000 0.0000
0.0033 0.7522 0.3754
0.0121 0.7583 0.8802
0.4893 0.7583 0.1123
0.4935 0.7451 0.6250
0.5065 0.2549 0.3750
0.5107 0.2417 0.8877
0.9879 0.2417 0.1198
0.9967 0.2478 0.6246
0.0000 0.0000 0.5000
0.0008 0.4981 0.7504
0.4967 0.0016 0.2409
0.5000 0.5000 0.0000
0.5000 0.5000 0.5000
0.5033 0.9984 0.7591
0.9992 0.5019 0.2496
0.0267 0.8925 0.1973
0.0330 0.6186 0.5696
0.0326 0.8942 0.6900
0.0342 0.6193 0.0688
0.4640 0.3819 0.6798
0.4655 0.3850 0.1818
0.4710 0.8864 0.4338
0.4933 0.8818 0.9227
0.5067 0.1182 0.0773
0.5290 0.1136 0.5662
0.5345 0.6150 0.8182
0.5360 0.6181 0.3202
0.9658 0.3807 0.9312
0.9674 0.1058 0.3100
0.9670 0.3814 0.4304
0.9733 0.1075 0.8027
```

The 10 most intense peaks (15 to 90 degrees two-theta), in order of falling intensity:
- 18.28 deg, rel. 100
- 40.71 deg, rel. 35
- 44.25 deg, rel. 27
- 44.34 deg, rel. 27
- 33.96 deg, rel. 18
- 36.12 deg, rel. 12
- 36.40 deg, rel. 11
- 64.03 deg, rel. 9
- 58.38 deg, rel. 9
- 61.57 deg, rel. 8

=====

3.
Calculated powder XRD pattern
Compound: Mn2Fe3P6WO24
Radiation: Cu Kα (weighted mean of Kα1 and Kα2)
Structure: a structure optimized by DFT (PBE+U)
Peak positions follow from Bragg's law for the DFT cell and can differ from measured ones.

```
Mn2Fe3P6WO24
1.0
4.3459 2.5091 7.0897
-4.3459 2.5091 7.0897
0.0000 -5.0182 7.0897
Mn Fe P W O
2 3 6 1 24
direct
0.0000 0.0000 0.0000
0.4961 0.4961 0.4961
0.1453 0.1453 0.1453
0.3544 0.3544 0.3544
0.8559 0.8559 0.8559
0.0478 0.4562 0.7539
0.2460 0.9628 0.5435
0.4562 0.7539 0.0478
0.5435 0.2460 0.9628
0.7539 0.0478 0.4562
0.9628 0.5435 0.2460
0.6443 0.6443 0.6443
0.0030 0.6131 0.8157
0.0543 0.2644 0.9141
0.0889 0.9390 0.7383
0.1133 0.5049 0.3137
0.1968 0.9912 0.3839
0.2359 0.4417 0.5876
0.2644 0.9141 0.0543
0.3137 0.1133 0.5049
0.3839 0.1968 0.9912
0.4133 0.7631 0.5656
0.4417 0.5876 0.2359
0.4997 0.6855 0.8878
0.5049 0.3137 0.1133
0.5656 0.4133 0.7631
0.5876 0.2359 0.4417
0.6131 0.8157 0.0030
0.6855 0.8878 0.4997
0.7383 0.0889 0.9390
0.7631 0.5656 0.4133
0.8157 0.0030 0.6131
0.8878 0.4997 0.6855
0.9141 0.0543 0.2644
0.9390 0.7383 0.0889
0.9912 0.3839 0.1968
```

The 10 most intense peaks (15 to 90 degrees two-theta), in order of falling intensity:
- 20.44 deg, rel. 100
- 24.02 deg, rel. 65
- 32.60 deg, rel. 59
- 35.79 deg, rel. 42
- 55.99 deg, rel. 34
- 62.31 deg, rel. 24
- 49.18 deg, rel. 24
- 46.76 deg, rel. 23
- 31.74 deg, rel. 17
- 29.07 deg, rel. 15

=====

4.
Calculated powder XRD pattern
Compound: Cr3Fe2O8
Radiation: Cu Kα (weighted mean of Kα1 and Kα2)
Structure: a structure optimized by DFT (PBE+U)
Peak positions follow from Bragg's law for the DFT cell and can differ from measured ones.

```
Cr3Fe2O8
1.0
2.9896 1.7261 4.8331
-2.9896 1.7261 4.8331
0.0000 -3.4521 4.8331
Cr Fe O
3 2 8
direct
0.0111 0.4945 0.4945
0.4945 0.0111 0.4945
0.4945 0.4945 0.0111
0.4943 0.4943 0.4943
0.8742 0.8742 0.8742
0.2559 0.2559 0.7056
0.2559 0.7056 0.2559
0.2639 0.2639 0.2639
0.2704 0.7401 0.7401
0.7056 0.2559 0.2559
0.7401 0.2704 0.7401
0.7401 0.7401 0.2704
0.7401 0.7401 0.7401
```

The 10 most intense peaks (15 to 90 degrees two-theta), in order of falling intensity:
- 35.27 deg, rel. 100
- 18.19 deg, rel. 68
- 42.93 deg, rel. 65
- 62.09 deg, rel. 36
- 35.48 deg, rel. 35
- 21.08 deg, rel. 34
- 62.56 deg, rel. 34
- 56.75 deg, rel. 24
- 18.36 deg, rel. 21
- 56.62 deg, rel. 17

=====

5.
Calculated powder XRD pattern
Compound: LiVO2F2
Radiation: Cu Kα (weighted mean of Kα1 and Kα2)
Structure: a structure optimized by DFT (PBE+U)
Peak positions follow from Bragg's law for the DFT cell and can differ from measured ones.

```
LiVO2F2
1.0
6.7104 0.0000 0.0000
0.0000 5.0860 0.0000
0.0000 0.0000 8.4650
Li V O F
4 4 8 8
direct
0.2470 0.0287 0.0000
0.2530 0.0287 0.5000
0.7470 0.9713 0.0000
0.7530 0.9713 0.5000
0.0103 0.4541 0.2052
0.4897 0.4541 0.7052
0.5103 0.5459 0.2052
0.9897 0.5459 0.7052
0.0365 0.3158 0.0306
0.2461 0.6083 0.7583
0.2539 0.6083 0.2583
0.4635 0.3158 0.5306
0.5365 0.6842 0.0306
0.7461 0.3917 0.7583
0.7539 0.3917 0.2583
0.9635 0.6842 0.5306
0.0634 0.2032 0.6468
0.0853 0.1788 0.3384
0.4147 0.1788 0.8384
0.4366 0.2032 0.1468
0.5634 0.7968 0.6468
0.5853 0.8212 0.3384
0.9147 0.8212 0.8384
0.9366 0.7968 0.1468
```

The 10 most intense peaks (15 to 90 degrees two-theta), in order of falling intensity:
- 20.99 deg, rel. 100
- 17.44 deg, rel. 97
- 27.41 deg, rel. 79
- 26.57 deg, rel. 62
- 39.36 deg, rel. 31
- 34.10 deg, rel. 30
- 31.96 deg, rel. 24
- 38.89 deg, rel. 21
- 38.55 deg, rel. 20
- 44.24 deg, rel. 19